[1]
The following is a calculated powder diffractogram of Li2Ti2VO6. It was derived from the PBE+U geometry in the Materials Project, using CuKα.
No peak broadening, texture or thermal motion is included.

The 12 most intense peaks (2θ from 15° to 90°), in order of rising 2θ:
index, Position (°2θ), intensity
0 0 2, 17.0, 100.0
0 2 0, 34.9, 6.0
3 1 1, 35.6, 25.2
3 1 2, 38.8, 11.0
0 2 2, 39.0, 14.1
3 1 3, 43.5, 32.0
0 2 4, 49.8, 14.2
3 1 5, 56.7, 17.8
3 3 1, 63.0, 15.3
6 0 2, 64.5, 5.8
3 1 7, 73.4, 4.9
6 2 4, 83.2, 5.5

Cell: 9.021 5.147 10.412 Å, 90.00 90.00 90.00°
Space group Cmce (No. 64)
Unique sites:
Li 0.250 0.088 0.250 [8 per cell]
Ti 0.161 0.000 0.000 [8 per cell]
V 0.000 0.000 0.500 [4 per cell]
O 0.000 0.146 0.899 [8 per cell]
O 0.182 0.178 0.607 [16 per cell]

***

[2]
The following is a calculated powder diffractogram of Li2Ti2V3O10. It was derived from the PBE+U geometry in the Materials Project, using CuKα.
No peak broadening, texture or thermal motion is included.

The 12 most intense peaks (2θ from 15° to 90°), in order of rising 2θ:
index, Position (°2θ), intensity
1 0 0, 17.9, 100.0
1 1 2, 22.5, 17.6
0 2 2, 26.8, 19.7
1 2 0, 27.8, 22.2
-1 1 2, 29.9, 13.4
0 1 4, 35.6, 10.2
1 -2 2, 38.0, 43.3
2 2 2, 39.1, 9.2
-1 1 4, 44.2, 31.1
2 3 2, 45.5, 29.8
-2 3 2, 59.6, 10.4
1 5 0, 62.6, 9.0

Cell: 5.148 7.737 10.462 Å, 75.60 76.54 78.20°
Space group P-1 (No. 2)
Unique sites:
Li 0.046 0.393 0.395 [2 per cell]
Li 0.057 0.399 0.889 [2 per cell]
Ti 0.478 0.317 0.069 [2 per cell]
Ti 0.498 0.312 0.559 [2 per cell]
V 0.000 0.000 0.000 [1 per cell]
V 0.000 0.000 0.500 [1 per cell]
V 0.458 0.888 0.158 [2 per cell]
V 0.462 0.894 0.654 [2 per cell]
O 0.216 0.790 0.110 [2 per cell]
O 0.220 0.779 0.593 [2 per cell]
O 0.268 0.518 0.974 [2 per cell]
O 0.275 0.506 0.471 [2 per cell]
O 0.284 0.937 0.338 [2 per cell]
O 0.285 0.142 0.019 [2 per cell]
O 0.286 0.134 0.531 [2 per cell]
O 0.299 0.933 0.848 [2 per cell]
O 0.326 0.320 0.241 [2 per cell]
O 0.343 0.309 0.743 [2 per cell]